Structure and computed powder diffractogram of Li2VO2F (a PBE+U-relaxed structure; Cu Kα).
Kinematic intensities with the Lorentz-polarization factor, no thermal factor.

Main lines, low angle first (15° ≤ 2θ ≤ 90°):
2theta, I/Imax
24.14, 62
34.32, 31
42.13, 100
43.26, 44
61.19, 23
62.00, 35

Structural model:
a b c (Å): 3.028 8.020 10.345
angles (deg): 110.22 90.12 100.82
Fractional coordinates of all 24 atoms:
Li (0.000, 0.000, 0.000)
Li (0.006, 0.010, 0.515)
Li (0.348, 0.697, 0.348)
Li (0.369, 0.732, 0.853)
Li (0.495, 0.988, 0.783)
Li (0.506, 0.010, 0.260)
Li (0.848, 0.697, 0.097)
Li (0.868, 0.739, 0.615)
V (0.174, 0.351, 0.935)
V (0.176, 0.352, 0.426)
V (0.671, 0.356, 0.183)
V (0.686, 0.342, 0.690)
O (0.084, 0.203, 0.228)
O (0.103, 0.202, 0.723)
O (0.258, 0.509, 0.142)
O (0.606, 0.207, 0.982)
O (0.619, 0.216, 0.482)
O (0.740, 0.508, 0.392)
O (0.742, 0.496, 0.888)
O (0.928, 0.851, 0.808)
F (0.270, 0.506, 0.641)
F (0.424, 0.852, 0.067)
F (0.427, 0.857, 0.546)
F (0.932, 0.860, 0.310)

Structure and computed powder diffractogram of Li2V2O5F2 (a PBE+U-relaxed structure; Cu Kα).
Kinematic intensities with the Lorentz-polarization factor, no thermal factor.

Main lines, low angle first (15° ≤ 2θ ≤ 90°):
2theta, I/Imax
17.76, 100
25.28, 47
28.72, 76
29.65, 44
30.08, 80
30.48, 73

Structural model:
a b c (Å): 7.063 7.063 6.880
angles (deg): 116.70 116.70 61.93
Fractional coordinates of all 22 atoms:
Li (0.017, 0.983, 0.500)
Li (0.397, 0.858, 0.875)
Li (0.858, 0.397, 0.375)
Li (0.983, 0.017, 0.000)
V (0.392, 0.412, 0.395)
V (0.412, 0.392, 0.895)
V (0.475, 0.891, 0.445)
V (0.891, 0.475, 0.945)
O (0.110, 0.479, 0.236)
O (0.132, 0.462, 0.865)
O (0.360, 0.753, 0.494)
O (0.370, 0.515, 0.692)
O (0.462, 0.132, 0.365)
O (0.479, 0.110, 0.736)
O (0.515, 0.370, 0.192)
O (0.737, 0.744, 0.984)
O (0.744, 0.737, 0.484)
O (0.753, 0.360, 0.994)
F (0.047, 0.094, 0.317)
F (0.094, 0.047, 0.817)
F (0.369, 0.768, 0.112)
F (0.768, 0.369, 0.612)

Structure and computed powder diffractogram of Li2VO2F (a PBE+U-relaxed structure; Cu Kα).
Kinematic intensities with the Lorentz-polarization factor, no thermal factor.

Main lines, low angle first (15° ≤ 2θ ≤ 90°):
2theta, I/Imax
23.34, 31
29.18, 61
38.52, 35
42.88, 53
43.20, 100
62.50, 54

Structural model:
a b c (Å): 4.218 2.958 8.896
angles (deg): 90.00 90.06 90.00
Fractional coordinates of all 12 atoms:
Li (0.000, 0.000, 0.000)
Li (0.000, 0.000, 0.314)
Li (0.499, 0.500, 0.167)
Li (0.499, 0.500, 0.852)
V (0.500, 0.500, 0.490)
V (0.999, 0.000, 0.676)
O (0.000, 0.500, 0.513)
O (0.001, 0.500, 0.825)
O (0.498, 0.000, 0.341)
O (0.500, 0.000, 0.654)
F (0.500, 0.000, 0.005)
F (0.999, 0.500, 0.161)